No. 1
Structure and calculated X-ray powder pattern of MgH30C2S2O18 (the GGA-PBE geometry in Alexandria; Cu Kα (weighted mean of Kα1 and Kα2)).
Kinematic intensities with the Lorentz-polarization factor, no thermal factor.

Atomic structure:
abc: 8.9446 8.9446 8.9446
angles: 62.99 62.99 62.99
Atoms (fractional coordinates):
Mg: 0.0000 0.0000 0.0000
H: 0.0622 0.6140 0.7219
H: 0.0735 0.1226 0.6417
H: 0.1226 0.6417 0.0735
H: 0.1263 0.8703 0.2857
H: 0.1297 0.7143 0.8737
H: 0.2198 0.6946 0.5874
H: 0.2683 0.4007 0.4898
H: 0.2781 0.9378 0.3860
H: 0.2857 0.1263 0.8703
H: 0.3054 0.4126 0.7802
H: 0.3583 0.9265 0.8774
H: 0.3860 0.2781 0.9378
H: 0.4007 0.4898 0.2683
H: 0.4126 0.7802 0.3054
H: 0.4898 0.2683 0.4007
H: 0.5102 0.7317 0.5993
H: 0.5874 0.2198 0.6946
H: 0.5993 0.5102 0.7317
H: 0.6140 0.7219 0.0622
H: 0.6417 0.0735 0.1226
H: 0.6946 0.5874 0.2198
H: 0.7143 0.8737 0.1297
H: 0.7219 0.0622 0.6140
H: 0.7317 0.5993 0.5102
H: 0.7802 0.3054 0.4126
H: 0.8703 0.2857 0.1263
H: 0.8737 0.1297 0.7143
H: 0.8774 0.3583 0.9265
H: 0.9265 0.8774 0.3583
H: 0.9378 0.3860 0.2781
C: 0.3704 0.3704 0.3704
C: 0.6296 0.6296 0.6296
S: 0.2876 0.2876 0.2876
S: 0.7124 0.7124 0.7124
O: 0.0290 0.8845 0.2510
O: 0.1155 0.7490 0.9710
O: 0.1263 0.4274 0.2492
O: 0.1740 0.6207 0.7120
O: 0.2492 0.1263 0.4274
O: 0.2510 0.0290 0.8845
O: 0.2880 0.8260 0.3793
O: 0.3793 0.2880 0.8260
O: 0.4274 0.2492 0.1263
O: 0.5726 0.7508 0.8737
O: 0.6207 0.7120 0.1740
O: 0.7120 0.1740 0.6207
O: 0.7490 0.9710 0.1155
O: 0.7508 0.8737 0.5726
O: 0.8260 0.3793 0.2880
O: 0.8737 0.5726 0.7508
O: 0.8845 0.2510 0.0290
O: 0.9710 0.1155 0.7490

Most intense lines, 2θ = 10–90°, in order of rising 2θ:
18.99 deg, 4.673 Å, I = 451; 19.89 deg, 4.463 Å, I = 640; 22.75 deg, 3.909 Å, I = 1000; 23.51 deg, 3.785 Å, I = 435; 29.50 deg, 3.028 Å, I = 281; 37.83 deg, 2.378 Å, I = 217

No. 2
Structure and calculated X-ray powder pattern of Sr3PrTh2As6 (the GGA-PBE geometry in Alexandria; Cu Kα (weighted mean of Kα1 and Kα2)).
Kinematic intensities with the Lorentz-polarization factor, no thermal factor.

Atomic structure:
abc: 7.5827 7.5827 7.6445
angles: 99.52 99.52 120.02
Atoms (fractional coordinates):
Sr: 0.0000 0.0000 0.0000
Sr: 0.3348 0.6652 0.0000
Sr: 0.6652 0.3348 0.0000
Pr: 0.5000 0.5000 0.5000
Th: 0.1668 0.8332 0.5000
Th: 0.8332 0.1668 0.5000
As: 0.0848 0.4237 0.2711
As: 0.2373 0.2373 0.7287
As: 0.4237 0.0848 0.2711
As: 0.5763 0.9152 0.7289
As: 0.7627 0.7627 0.2713
As: 0.9152 0.5763 0.7289

Most intense lines, 2θ = 10–90°, in order of rising 2θ:
12.27 deg, 7.214 Å, I = 197; 28.75 deg, 3.105 Å, I = 1000; 40.99 deg, 2.202 Å, I = 372; 41.25 deg, 2.189 Å, I = 381; 51.06 deg, 1.789 Å, I = 203; 67.64 deg, 1.385 Å, I = 174

No. 3
Structure and calculated X-ray powder pattern of KVSi (the GGA-PBE geometry in Alexandria; Cu Kα (weighted mean of Kα1 and Kα2)).
Kinematic intensities with the Lorentz-polarization factor, no thermal factor.

Atomic structure:
abc: 6.5297 4.5273 11.7119
angles: 90.00 100.48 90.00
Atoms (fractional coordinates):
K: 0.0000 0.0000 0.0000
K: 0.1562 0.5000 0.3653
K: 0.5000 0.5000 0.0000
K: 0.6562 0.0000 0.3653
V: 0.0047 0.0000 0.6404
V: 0.2969 0.0000 0.7672
V: 0.5047 0.5000 0.6404
V: 0.7969 0.5000 0.7672
Si: 0.1535 0.5000 0.7277
Si: 0.3589 0.0000 0.5613
Si: 0.6535 0.0000 0.7277
Si: 0.8589 0.5000 0.5613

Most intense lines, 2θ = 10–90°, in order of rising 2θ:
23.17 deg, 3.839 Å, I = 845; 26.06 deg, 3.420 Å, I = 1000; 27.25 deg, 3.273 Å, I = 949; 32.96 deg, 2.718 Å, I = 915; 39.82 deg, 2.264 Å, I = 850; 46.96 deg, 1.935 Å, I = 872

No. 4
Structure and calculated X-ray powder pattern of NaCe6Te8 (the GGA-PBE geometry in Alexandria; Cu Kα (weighted mean of Kα1 and Kα2)).
Kinematic intensities with the Lorentz-polarization factor, no thermal factor.

Atomic structure:
abc: 8.9598 8.9598 8.9598
angles: 60.00 60.00 60.00
Atoms (fractional coordinates):
Na: 0.0000 0.0000 0.0000
Ce: 0.0000 0.0000 0.5000
Ce: 0.0000 0.5000 0.0000
Ce: 0.0000 0.5000 0.5000
Ce: 0.5000 0.0000 0.0000
Ce: 0.5000 0.0000 0.5000
Ce: 0.5000 0.5000 0.0000
Te: 0.2500 0.2500 0.2500
Te: 0.2550 0.2550 0.7450
Te: 0.2550 0.7450 0.2550
Te: 0.2550 0.7450 0.7450
Te: 0.7450 0.2550 0.2550
Te: 0.7450 0.2550 0.7450
Te: 0.7450 0.7450 0.2550
Te: 0.7500 0.7500 0.7500

Most intense lines, 2θ = 10–90°, in order of rising 2θ:
28.17 deg, 3.168 Å, I = 1000; 40.26 deg, 2.240 Å, I = 760; 49.86 deg, 1.829 Å, I = 272; 58.25 deg, 1.584 Å, I = 127; 65.94 deg, 1.417 Å, I = 347; 73.18 deg, 1.293 Å, I = 255